1.
# Ca4Cd5Bi6
Theoretical X-ray powder pattern, Cu Kα (λ = 1.5418 Å). Input: a crystal structure in Alexandria, relaxed with PBE.

Structure:
Cell lengths 11.839, 11.839, 17.278 Å; angles 90.00, 90.00, 156.96 degrees
Positions (direct):
Ca  0.010  0.990  0.500
Ca  0.035  0.965  0.786
Ca  0.157  0.843  0.301
Ca  0.171  0.829  0.959
Ca  0.829  0.171  0.459
Ca  0.843  0.157  0.801
Ca  0.965  0.035  0.286
Ca  0.990  0.010  0.000
Cd  0.142  0.858  0.636
Cd  0.310  0.690  0.928
Cd  0.316  0.684  0.639
Cd  0.346  0.654  0.270
Cd  0.442  0.558  0.715
Cd  0.558  0.442  0.215
Cd  0.654  0.346  0.770
Cd  0.684  0.316  0.139
Cd  0.690  0.310  0.428
Cd  0.858  0.142  0.136
Bi  0.100  0.900  0.123
Bi  0.228  0.772  0.513
Bi  0.235  0.765  0.775
Bi  0.417  0.583  0.413
Bi  0.433  0.567  0.884
Bi  0.442  0.558  0.135
Bi  0.558  0.442  0.635
Bi  0.567  0.433  0.384
Bi  0.583  0.417  0.913
Bi  0.765  0.235  0.275
Bi  0.772  0.228  0.013
Bi  0.900  0.100  0.623

Most intense lines, 15° ≤ 2θ ≤ 90°, in order of rising 2θ:
2theta, intensity
21.76, 53
21.96, 60
22.64, 60
25.71, 42
28.25, 36
31.15, 100
38.07, 67
39.20, 65
39.83, 37
42.96, 50

2.
# Nd4Dy3Te8
Theoretical X-ray powder pattern, Cu Kα (λ = 1.5418 Å). Input: a crystal structure in Alexandria, relaxed with PBE.

Structure:
Cell lengths 8.827, 8.827, 8.828 Å; angles 119.97, 119.97, 90.03 degrees
Positions (direct):
Nd  0.000  0.000  0.000
Nd  0.000  0.000  0.500
Nd  0.000  0.500  0.000
Nd  0.500  0.000  0.000
Dy  0.000  0.500  0.500
Dy  0.500  0.000  0.500
Dy  0.500  0.500  0.000
Te  0.254  0.746  0.000
Te  0.259  0.741  0.500
Te  0.262  0.262  0.017
Te  0.262  0.262  0.508
Te  0.738  0.738  0.492
Te  0.738  0.738  0.983
Te  0.741  0.259  0.500
Te  0.746  0.254  0.000

Most intense lines, 15° ≤ 2θ ≤ 90°, in order of rising 2θ:
2theta, intensity
20.11, 3
23.63, 4
28.60, 100
31.22, 3
40.88, 76
50.65, 27
59.20, 13
67.04, 34
74.45, 25
88.62, 8